# 1
The following is a theoretical powder diffraction line list of Na4ZnO3. It was derived from a crystal structure in OQMD, relaxed with PBE, using a wavelength of 1.5418 Å.
Peak positions follow from Bragg's law for the DFT cell and can differ from measured ones.

Most intense lines, 10 to 90 degrees two-theta, in order of rising 2θ:
2θ (°), I (rel.)
19.43, 46
23.67, 70
35.59, 100
36.92, 97
37.68, 93
56.55, 45

Cell lengths 6.218, 6.218, 7.983 Å; angles 110.58, 110.58, 55.10 degrees
Sites, in units of the cell vectors:
Na: 0.013 0.342 0.408
Na: 0.161 0.839 0.500
Na: 0.243 0.566 0.814
Na: 0.342 0.013 0.908
Na: 0.377 0.809 0.214
Na: 0.566 0.243 0.314
Na: 0.809 0.377 0.714
Na: 0.839 0.161 0.000
Zn: 0.616 0.918 0.619
Zn: 0.918 0.616 0.119
O: 0.184 0.264 0.170
O: 0.264 0.184 0.670
O: 0.600 0.602 0.472
O: 0.602 0.600 0.972
O: 0.926 0.944 0.706
O: 0.944 0.926 0.206



# 2
The following is a theoretical powder diffraction line list of Nb2Cd3W4N3. It was derived from a crystal structure in OQMD, relaxed with PBE, using a wavelength of 1.5418 Å.
Peak positions follow from Bragg's law for the DFT cell and can differ from measured ones.

Most intense lines, 10 to 90 degrees two-theta, in order of rising 2θ:
2θ (°), I (rel.)
33.31, 33
37.93, 32
38.43, 100
38.57, 48
59.48, 18
73.07, 17

Cell lengths 5.375, 5.375, 14.554 Å; angles 100.39, 100.39, 60.16 degrees
Sites, in units of the cell vectors:
Nb: 0.024 0.855 0.593
Nb: 0.145 0.976 0.907
Nb: 0.855 0.024 0.093
Nb: 0.976 0.145 0.407
Cd: 0.084 0.285 0.746
Cd: 0.285 0.084 0.246
Cd: 0.458 0.542 0.750
Cd: 0.542 0.458 0.250
Cd: 0.715 0.916 0.754
Cd: 0.916 0.715 0.254
W: 0.190 0.373 0.075
W: 0.321 0.459 0.424
W: 0.373 0.190 0.575
W: 0.459 0.321 0.924
W: 0.541 0.679 0.076
W: 0.627 0.810 0.425
W: 0.679 0.541 0.576
W: 0.810 0.627 0.925
N: 0.000 0.500 0.500
N: 0.153 0.697 0.999
N: 0.303 0.847 0.501
N: 0.500 0.000 0.000
N: 0.697 0.153 0.499
N: 0.847 0.303 0.001



# 3
The following is a theoretical powder diffraction line list of Ta3Ge. It was derived from a crystal structure in OQMD, relaxed with PBE, using a wavelength of 1.5418 Å.
Peak positions follow from Bragg's law for the DFT cell and can differ from measured ones.

Most intense lines, 10 to 90 degrees two-theta, in order of rising 2θ:
2θ (°), I (rel.)
35.74, 100
36.29, 60
36.99, 47
39.07, 39
39.92, 79
42.36, 37

Cell lengths 10.310, 10.310, 5.263 Å; angles 90.00, 90.00, 90.00 degrees
Sites, in units of the cell vectors:
Ta: 0.038 0.562 0.236
Ta: 0.062 0.962 0.736
Ta: 0.101 0.233 0.029
Ta: 0.151 0.665 0.719
Ta: 0.165 0.849 0.219
Ta: 0.233 0.399 0.471
Ta: 0.267 0.101 0.471
Ta: 0.335 0.651 0.219
Ta: 0.349 0.835 0.719
Ta: 0.399 0.267 0.029
Ta: 0.438 0.538 0.736
Ta: 0.462 0.938 0.236
Ta: 0.538 0.062 0.764
Ta: 0.562 0.462 0.264
Ta: 0.601 0.733 0.971
Ta: 0.651 0.165 0.281
Ta: 0.665 0.349 0.781
Ta: 0.733 0.899 0.529
Ta: 0.767 0.601 0.529
Ta: 0.835 0.151 0.781
Ta: 0.849 0.335 0.281
Ta: 0.899 0.767 0.971
Ta: 0.938 0.038 0.264
Ta: 0.962 0.438 0.764
Ge: 0.046 0.222 0.533
Ge: 0.222 0.454 0.967
Ge: 0.278 0.046 0.967
Ge: 0.454 0.278 0.533
Ge: 0.546 0.722 0.467
Ge: 0.722 0.954 0.033
Ge: 0.778 0.546 0.033
Ge: 0.954 0.778 0.467



# 4
The following is a theoretical powder diffraction line list of Ag9Sn. It was derived from a crystal structure in OQMD, relaxed with PBE, using a wavelength of 1.5418 Å.
Peak positions follow from Bragg's law for the DFT cell and can differ from measured ones.

Most intense lines, 10 to 90 degrees two-theta, in order of rising 2θ:
2θ (°), I (rel.)
37.55, 100
38.62, 40
43.12, 47
62.62, 15
65.24, 14
75.36, 24

Cell lengths 2.967, 2.967, 52.776 Å; angles 90.00, 90.00, 90.00 degrees
Sites, in units of the cell vectors:
Ag: 0.250 0.250 0.019
Ag: 0.250 0.250 0.093
Ag: 0.250 0.250 0.168
Ag: 0.250 0.250 0.243
Ag: 0.250 0.250 0.319
Ag: 0.250 0.250 0.719
Ag: 0.250 0.250 0.795
Ag: 0.250 0.250 0.869
Ag: 0.250 0.250 0.944
Ag: 0.750 0.750 0.056
Ag: 0.750 0.750 0.131
Ag: 0.750 0.750 0.205
Ag: 0.750 0.750 0.281
Ag: 0.750 0.750 0.681
Ag: 0.750 0.750 0.757
Ag: 0.750 0.750 0.832
Ag: 0.750 0.750 0.907
Ag: 0.750 0.750 0.981
Sn: 0.250 0.250 0.637
Sn: 0.750 0.750 0.363



# 5
The following is a theoretical powder diffraction line list of BiPt18. It was derived from a crystal structure in OQMD, relaxed with PBE, using a wavelength of 1.5418 Å.
Peak positions follow from Bragg's law for the DFT cell and can differ from measured ones.

Most intense lines, 10 to 90 degrees two-theta, in order of rising 2θ:
2θ (°), I (rel.)
39.33, 71
39.60, 100
45.83, 46
46.00, 33
66.94, 30
80.74, 31

Cell lengths 5.573, 3.948, 42.198 Å; angles 90.00, 90.01, 90.00 degrees
Sites, in units of the cell vectors:
Bi: 0.125 0.250 0.180
Bi: 0.875 0.750 0.820
Pt: 0.125 0.250 0.249
Pt: 0.125 0.250 0.316
Pt: 0.125 0.250 0.383
Pt: 0.125 0.250 0.450
Pt: 0.125 0.250 0.517
Pt: 0.125 0.250 0.584
Pt: 0.125 0.250 0.651
Pt: 0.126 0.250 0.718
Pt: 0.130 0.250 0.786
Pt: 0.375 0.750 0.416
Pt: 0.375 0.750 0.483
Pt: 0.375 0.750 0.550
Pt: 0.375 0.750 0.618
Pt: 0.375 0.750 0.685
Pt: 0.375 0.750 0.754
Pt: 0.376 0.750 0.282
Pt: 0.376 0.750 0.349
Pt: 0.380 0.750 0.214
Pt: 0.620 0.250 0.786
Pt: 0.624 0.250 0.651
Pt: 0.624 0.250 0.718
Pt: 0.625 0.250 0.246
Pt: 0.625 0.250 0.315
Pt: 0.625 0.250 0.382
Pt: 0.625 0.250 0.450
Pt: 0.625 0.250 0.517
Pt: 0.625 0.250 0.584
Pt: 0.870 0.750 0.214
Pt: 0.874 0.750 0.282
Pt: 0.875 0.750 0.349
Pt: 0.875 0.750 0.416
Pt: 0.875 0.750 0.483
Pt: 0.875 0.750 0.550
Pt: 0.875 0.750 0.617
Pt: 0.875 0.750 0.684
Pt: 0.875 0.750 0.751



# 6
The following is a theoretical powder diffraction line list of ScTlZnS3. It was derived from a crystal structure in OQMD, relaxed with PBE, using a wavelength of 1.5418 Å.
Peak positions follow from Bragg's law for the DFT cell and can differ from measured ones.

Most intense lines, 10 to 90 degrees two-theta, in order of rising 2θ:
2θ (°), I (rel.)
17.27, 37
21.23, 39
25.61, 52
31.10, 100
37.38, 38
47.55, 32

Cell lengths 14.456, 3.824, 10.267 Å; angles 90.00, 90.00, 90.00 degrees
Sites, in units of the cell vectors:
Sc: 0.023 0.250 0.150
Sc: 0.477 0.750 0.650
Sc: 0.523 0.250 0.350
Sc: 0.977 0.750 0.850
Tl: 0.245 0.250 0.457
Tl: 0.255 0.750 0.957
Tl: 0.745 0.250 0.043
Tl: 0.755 0.750 0.543
Zn: 0.018 0.750 0.399
Zn: 0.482 0.250 0.899
Zn: 0.518 0.750 0.101
Zn: 0.982 0.250 0.601
S: 0.078 0.750 0.620
S: 0.088 0.250 0.923
S: 0.130 0.750 0.238
S: 0.370 0.250 0.738
S: 0.412 0.750 0.423
S: 0.422 0.250 0.120
S: 0.578 0.750 0.880
S: 0.588 0.250 0.577
S: 0.630 0.750 0.262
S: 0.870 0.250 0.762
S: 0.912 0.750 0.077
S: 0.922 0.250 0.380



# 7
The following is a theoretical powder diffraction line list of Y3AlFeS7. It was derived from a crystal structure in OQMD, relaxed with PBE, using a wavelength of 1.5418 Å.
Peak positions follow from Bragg's law for the DFT cell and can differ from measured ones.

Most intense lines, 10 to 90 degrees two-theta, in order of rising 2θ:
2θ (°), I (rel.)
17.94, 46
25.83, 100
35.42, 43
36.35, 75
37.31, 44
41.05, 43

Cell lengths 9.610, 6.138, 9.632 Å; angles 90.00, 119.81, 90.00 degrees
Sites, in units of the cell vectors:
Y: 0.123 0.000 0.346
Y: 0.275 0.498 0.121
Y: 0.348 0.500 0.724
Y: 0.652 0.000 0.276
Y: 0.725 0.998 0.879
Y: 0.877 0.500 0.654
Al: 0.167 0.924 0.833
Al: 0.833 0.424 0.167
Fe: 0.498 0.825 0.495
Fe: 0.502 0.325 0.505
S: 0.020 0.769 0.930
S: 0.071 0.769 0.591
S: 0.167 0.289 0.833
S: 0.262 0.588 0.398
S: 0.364 0.090 0.263
S: 0.397 0.088 0.636
S: 0.410 0.769 0.981
S: 0.590 0.269 0.019
S: 0.603 0.588 0.364
S: 0.636 0.590 0.737
S: 0.738 0.088 0.602
S: 0.833 0.789 0.167
S: 0.929 0.269 0.409
S: 0.980 0.269 0.070



# 8
The following is a theoretical powder diffraction line list of Li2GaCu2SnAu2. It was derived from a crystal structure in OQMD, relaxed with PBE, using a wavelength of 1.5418 Å.
Peak positions follow from Bragg's law for the DFT cell and can differ from measured ones.

Most intense lines, 10 to 90 degrees two-theta, in order of rising 2θ:
2θ (°), I (rel.)
24.49, 69
28.66, 26
40.30, 100
40.99, 51
48.33, 24
74.19, 33

Cell lengths 4.404, 4.404, 6.436 Å; angles 90.00, 90.00, 90.00 degrees
Sites, in units of the cell vectors:
Li: 0.000 0.000 0.000
Li: 0.500 0.500 0.500
Ga: 0.000 0.000 0.500
Cu: 0.000 0.500 0.728
Cu: 0.500 0.000 0.272
Sn: 0.500 0.500 0.000
Au: 0.000 0.500 0.274
Au: 0.500 0.000 0.726